This entry pairs a crystal structure of InBr with its theoretical powder diffractogram. Radiation: Cu Kα X-rays. Structure: DFT lattice parameters and positions (PBE).
No peak broadening, texture or thermal motion is included.

Principal peaks in the range 10° ≤ 2θ ≤ 90°, by angle:
index  2theta  I_rel
1 1 1  28.0  100
0 4 0  28.3  39
1 3 1  34.6  49
0 0 2  38.4  22
2 0 0  39.1  20
1 5 1  45.3  18
0 4 2  48.3  17
2 4 0  48.9  16

Atomic structure:
```
data_InBr
_cell_length_a 4.6110
_cell_length_b 12.6182
_cell_length_c 4.6926
_cell_angle_alpha 90.00
_cell_angle_beta 90.00
_cell_angle_gamma 90.00
_symmetry_space_group_name_H-M 'C m c m'
_symmetry_Int_Tables_number 63
_symmetry_space_group_name_Hall '-C 2c 2'
loop_
_atom_site_label
_atom_site_type_symbol
_atom_site_fract_x
_atom_site_fract_y
_atom_site_fract_z
In1 In 0.0000 0.1095 0.2500
Br1 Br 0.0000 0.3515 0.2500
```



This entry pairs a crystal structure of KInBr4 with its theoretical powder diffractogram. Radiation: Cu Kα X-rays. Structure: DFT lattice parameters and positions (PBE).
No peak broadening, texture or thermal motion is included.

Principal peaks in the range 10° ≤ 2θ ≤ 90°, by angle:
index  2theta  I_rel
1 0 1  13.7  56
1 1 2  21.4  100
0 2 2  23.2  68
2 1 1  25.0  46
2 1 2  28.8  53
2 1 3  34.4  67
2 3 3  41.8  40
4 2 0  48.2  43

Atomic structure:
```
data_KInBr4
_cell_length_a 8.0567
_cell_length_b 10.8805
_cell_length_c 10.8281
_cell_angle_alpha 90.00
_cell_angle_beta 90.00
_cell_angle_gamma 90.00
_symmetry_space_group_name_H-M 'P n n a'
_symmetry_Int_Tables_number 52
loop_
_symmetry_equiv_pos_as_xyz
'x,y,z'
'-x,-y,-z'
'-x+1/2,-y,z'
'x+1/2,y,-z'
'x,-y+1/2,-z+1/2'
'-x,y+1/2,z+1/2'
'-x+1/2,y+1/2,-z+1/2'
'x+1/2,-y+1/2,z+1/2'
loop_
_atom_site_label
_atom_site_type_symbol
_atom_site_fract_x
_atom_site_fract_y
_atom_site_fract_z
K1 K 0.1784 0.2500 0.2500
In1 In 0.2500 0.0000 0.6797
Br1 Br 0.0027 0.5416 0.3164
Br2 Br 0.1559 0.6838 0.9488
```



This entry pairs a crystal structure of K2NaInBr6 with its theoretical powder diffractogram. Radiation: Cu Kα X-rays. Structure: DFT lattice parameters and positions (PBE).
No peak broadening, texture or thermal motion is included.

Principal peaks in the range 10° ≤ 2θ ≤ 90°, by angle:
index  2theta  I_rel
1 1 1  13.7  29
2 0 0  15.8  54
2 2 2  27.6  72
4 0 0  32.0  100
4 2 0  35.9  28
4 4 0  45.9  70
6 2 2  54.4  29
8 4 0  76.0  29

Atomic structure:
```
data_K2NaInBr6
_cell_length_a 11.1948
_cell_length_b 11.1948
_cell_length_c 11.1948
_cell_angle_alpha 90.00
_cell_angle_beta 90.00
_cell_angle_gamma 90.00
_symmetry_space_group_name_H-M 'F m -3 m'
_symmetry_Int_Tables_number 225
_symmetry_space_group_name_Hall '-F 4 2 3'
loop_
_atom_site_label
_atom_site_type_symbol
_atom_site_fract_x
_atom_site_fract_y
_atom_site_fract_z
K1 K 0.2500 0.2500 0.2500
Na1 Na 0.0000 0.0000 0.0000
In1 In 0.0000 0.0000 0.5000
Br1 Br 0.0000 0.0000 0.2588
```



Q: Number 3 is which compound?
A: K2NaInBr6



Q: What is the formula in the first record?
A: InBr